For Zn3P2, the PBE geometry in the Materials Project gives the simulated PXRD pattern in this record (CuKα).
Kinematic intensities with the Lorentz-polarization factor, no thermal factor.

Main lines, low angle first (2θ = 5–70°):
- 2θ 19.01, I 13, (2 1 1)
- 2θ 27.00, I 18, (2 2 2)
- 2θ 29.21, I 53, (3 2 1)
- 2θ 31.28, I 44, (4 0 0)
- 2θ 36.86, I 35, (3 3 2)
- 2θ 44.82, I 100, (4 4 0)
- 2θ 59.38, I 25, (7 2 1)
- 2θ 64.10, I 18, (7 2 3)

Crystal structure
abc: 11.4383 11.4383 11.4383
angles: 90.00 90.00 90.00
Space group Ia-3 (No. 206)
One atom of each set of equivalent atoms:
Zn1 0.1083 0.1438 0.6194
P1 0.0000 0.0000 0.0000
P2 0.0000 0.2500 0.2602